The following is a computed PXRD pattern of Li4AlZnPt2. It was derived from a cell relaxed with PBE, using Cu Kα, 1.54184 Å.
No peak broadening, texture or thermal motion is included.

Largest 10 diffraction maxima, sorted by position, 15 to 90 degrees two-theta:
2θ (°), d [Å], I/Imax, (hkl)
25.57, 3.484, 100, 1 0 1
29.47, 3.031, 9, 0 0 2
29.67, 3.011, 19, 1 1 0
42.32, 2.136, 45, 1 1 2
42.46, 2.129, 23, 2 0 0
49.96, 1.825, 16, 1 0 3
50.22, 1.817, 33, 2 1 1
52.53, 1.742, 8, 2 0 2
67.61, 1.386, 13, 2 1 3
77.59, 1.230, 15, 3 1 2

Crystal structure
Cell: 4.258 4.258 6.061 Å, 90.00 90.00 90.00°
Space group P-4m2 (No. 115)
One atom of each set of equivalent atoms:
Li  0.000  0.000  0.000 x1
Li  0.000  0.500  0.740 x2
Li  0.500  0.500  0.500 x1
Al  0.500  0.500  0.000 x1
Zn  0.000  0.000  0.500 x1
Pt  0.000  0.500  0.238 x2